Starting from a DFT-relaxed cell (GGA-PBE, Alexandria), the powder diffractogram of Y3Ni2Ge4 was calculated for Cu Ka.
Peak positions follow from Bragg's law for the DFT cell and can differ from measured ones.

Main lines, most intense first (15° ≤ 2θ ≤ 90°):
43.31°, d = 2.089 Å, intensity 100; 34.09°, d = 2.630 Å, intensity 93; 33.43°, d = 2.680 Å, intensity 59; 34.54°, d = 2.597 Å, intensity 50; 34.74°, d = 2.582 Å, intensity 31; 73.24°, d = 1.292 Å, intensity 19; 40.39°, d = 2.233 Å, intensity 17; 65.74°, d = 1.420 Å, intensity 15; 56.72°, d = 1.623 Å, intensity 15; 69.79°, d = 1.348 Å, intensity 14

Cell and atoms:
a b c (Å): 10.620 4.173 8.088
angles (deg): 90.00 106.70 90.00
Space group C2/m (No. 12)
One atom of each set of equivalent atoms:
Y (0.000, 0.000, 0.000) x2
Y (0.125, 0.500, 0.694) x4
Ni (0.192, 0.500, 0.369) x4
Ge (0.091, 0.000, 0.400) x4
Ge (0.208, 0.500, 0.077) x4

---

Starting from a DFT-relaxed cell (GGA-PBE, Alexandria), the powder diffractogram of Ce6PuGa was calculated for Cu Ka.
Peak positions follow from Bragg's law for the DFT cell and can differ from measured ones.

Main lines, most intense first (15° ≤ 2θ ≤ 90°):
33.22°, d = 2.697 Å, intensity 100; 34.55°, d = 2.596 Å, intensity 94; 33.86°, d = 2.647 Å, intensity 89; 53.60°, d = 1.710 Å, intensity 80; 17.76°, d = 4.995 Å, intensity 54; 30.35°, d = 2.945 Å, intensity 46; 43.32°, d = 2.089 Å, intensity 42; 15.65°, d = 5.661 Å, intensity 40; 42.24°, d = 2.139 Å, intensity 35; 44.42°, d = 2.040 Å, intensity 35

Cell and atoms:
a b c (Å): 12.462 5.927 11.556
angles (deg): 90.00 101.57 90.00
Space group C2/c (No. 15)
One atom of each set of equivalent atoms:
Ce (0.078, 0.077, 0.392) x8
Ce (0.132, 0.424, 0.031) x8
Ce (0.224, 0.081, 0.686) x8
Pu (0.250, 0.250, 0.500) x4
Ga (0.000, 0.410, 0.750) x4

---

Starting from a DFT-relaxed cell (GGA-PBE, Alexandria), the powder diffractogram of BaLaScS4 was calculated for Cu Ka.
Peak positions follow from Bragg's law for the DFT cell and can differ from measured ones.

Main lines, most intense first (15° ≤ 2θ ≤ 90°):
25.29°, d = 3.522 Å, intensity 100; 36.80°, d = 2.442 Å, intensity 86; 25.62°, d = 3.477 Å, intensity 56; 25.97°, d = 3.431 Å, intensity 54; 34.92°, d = 2.569 Å, intensity 44; 35.19°, d = 2.550 Å, intensity 43; 19.08°, d = 4.652 Å, intensity 40; 34.67°, d = 2.587 Å, intensity 35; 64.93°, d = 1.436 Å, intensity 26; 51.92°, d = 1.761 Å, intensity 26

Cell and atoms:
a b c (Å): 6.861 15.250 6.955
angles (deg): 90.00 90.00 90.00
Space group Cmcm (No. 63)
One atom of each set of equivalent atoms:
Ba (0.000, 0.107, 0.250) x4
La (0.000, 0.383, 0.250) x4
Sc (0.000, 0.251, 0.750) x4
S (0.000, 0.087, 0.750) x4
S (0.000, 0.433, 0.750) x4
S (0.250, 0.250, 0.000) x8

---

Starting from a DFT-relaxed cell (GGA-PBE, Alexandria), the powder diffractogram of AcPr4Y7 was calculated for Cu Ka.
Peak positions follow from Bragg's law for the DFT cell and can differ from measured ones.

Main lines, most intense first (15° ≤ 2θ ≤ 90°):
32.73°, d = 2.736 Å, intensity 100; 31.05°, d = 2.880 Å, intensity 74; 30.33°, d = 2.947 Å, intensity 56; 28.15°, d = 3.170 Å, intensity 43; 31.16°, d = 2.870 Å, intensity 38; 49.42°, d = 1.844 Å, intensity 28; 59.05°, d = 1.564 Å, intensity 25; 56.47°, d = 1.629 Å, intensity 21; 59.56°, d = 1.552 Å, intensity 17; 59.21°, d = 1.560 Å, intensity 17

Cell and atoms:
a b c (Å): 6.389 7.371 9.099
angles (deg): 90.10 103.63 90.15
Space group P-1 (No. 2)
One atom of each set of equivalent atoms:
Ac (0.000, 0.000, 0.000) x1
Pr (0.221, 0.499, 0.667) x2
Pr (0.280, 0.748, 0.336) x2
Y (0.000, 0.500, 0.000) x1
Y (0.223, 0.999, 0.664) x2
Y (0.279, 0.251, 0.334) x2
Y (0.499, 0.749, 0.999) x2

---

Starting from a DFT-relaxed cell (GGA-PBE, Alexandria), the powder diffractogram of DyMgCdHg was calculated for Cu Ka.
Peak positions follow from Bragg's law for the DFT cell and can differ from measured ones.

Main lines, most intense first (15° ≤ 2θ ≤ 90°):
35.34°, d = 2.540 Å, intensity 100; 63.43°, d = 1.466 Å, intensity 36; 21.42°, d = 4.148 Å, intensity 23; 50.84°, d = 1.796 Å, intensity 18; 85.48°, d = 1.136 Å, intensity 16; 41.70°, d = 2.166 Å, intensity 13; 74.75°, d = 1.270 Å, intensity 11; 24.79°, d = 3.592 Å, intensity 8; 55.77°, d = 1.648 Å, intensity 6; 78.81°, d = 1.214 Å, intensity 4

Cell and atoms:
a b c (Å): 7.184 7.184 7.184
angles (deg): 90.00 90.00 90.00
Space group F-43m (No. 216)
One atom of each set of equivalent atoms:
Dy (0.000, 0.000, 0.000) x4
Mg (0.000, 0.000, 0.500) x4
Cd (0.250, 0.250, 0.250) x4
Hg (0.250, 0.250, 0.750) x4

---

Starting from a DFT-relaxed cell (GGA-PBE, Alexandria), the powder diffractogram of BeGaGe was calculated for Cu Ka.
Peak positions follow from Bragg's law for the DFT cell and can differ from measured ones.

Main lines, most intense first (15° ≤ 2θ ≤ 90°):
31.27°, d = 2.861 Å, intensity 100; 44.81°, d = 2.023 Å, intensity 86; 74.12°, d = 1.279 Å, intensity 32; 82.62°, d = 1.168 Å, intensity 28; 55.65°, d = 1.652 Å, intensity 25; 65.23°, d = 1.430 Å, intensity 14

Cell and atoms:
a b c (Å): 5.721 5.721 5.721
angles (deg): 90.00 90.00 90.00
Space group F-43m (No. 216)
One atom of each set of equivalent atoms:
Be (0.000, 0.000, 0.000) x4
Ga (0.250, 0.250, 0.750) x4
Ge (0.250, 0.250, 0.250) x4